Pr2Co2I: simulated PXRD pattern (Cu Ka), based on a crystal structure in OQMD, relaxed with GGA-PBE.

Peak list (10 most intense, 2θ = 5–70°, in order of falling intensity)
d 2.731, I 100
d 2.002, I 40
d 1.615, I 20
d 1.485, I 18
d 3.468, I 16
d 3.403, I 15
d 2.248, I 13
d 2.214, I 11
d 2.990, I 11
d 1.578, I 9

Cell and atoms:
a b c (Å): 4.0046 4.0046 17.7156
angles (deg): 90.00 90.00 120.00
Space group P6_3/mmc (No. 194)
Asymmetric unit:
Pr (0.0000, 0.0000, 0.1065) [4 per cell]
Co (0.3333, 0.6667, 0.9996) [4 per cell]
I (0.3333, 0.6667, 0.2500) [2 per cell]


In2Co7: simulated PXRD pattern (Cu Ka), based on a crystal structure in OQMD, relaxed with GGA-PBE.

Peak list (10 most intense, 2θ = 5–70°, in order of falling intensity)
d 13.765, I 100
d 2.151, I 38
d 2.212, I 28
d 1.857, I 24
d 1.348, I 11
d 1.781, I 10
d 5.506, I 9
d 1.966, I 9
d 2.328, I 7
d 6.883, I 6

Cell and atoms:
a b c (Å): 2.6975 2.6975 27.5310
angles (deg): 90.00 90.00 120.00
Space group P-3m1 (No. 164)
Asymmetric unit:
In (0.3333, 0.6667, 0.2923) [2 per cell]
Co (0.0000, 0.0000, 0.0000) [1 per cell]
Co (0.0000, 0.0000, 0.2072) [2 per cell]
Co (0.3333, 0.6667, 0.0693) [2 per cell]
Co (0.3333, 0.6667, 0.8607) [2 per cell]


InCo15: simulated PXRD pattern (Cu Ka), based on a crystal structure in OQMD, relaxed with GGA-PBE.

Peak list (10 most intense, 2θ = 5–70°, in order of falling intensity)
d 2.012, I 100
d 2.070, I 60
d 1.755, I 52
d 13.741, I 16
d 1.792, I 11
d 8.245, I 11
d 1.718, I 10
d 2.237, I 7
d 2.127, I 6
d 10.306, I 5

Cell and atoms:
a b c (Å): 3.5104 3.5114 41.2226
angles (deg): 90.03 90.03 90.01
Space group P-1 (No. 2)
Asymmetric unit:
In (0.0000, 0.2503, 0.1660) [2 per cell]
Co (0.0000, 0.2499, 0.2666) [2 per cell]
Co (0.0000, 0.2502, 0.3518) [2 per cell]
Co (0.0000, 0.2500, 0.4366) [2 per cell]
Co (0.0000, 0.2500, 0.5212) [2 per cell]
Co (0.0000, 0.2499, 0.6058) [2 per cell]
Co (0.0000, 0.2500, 0.6906) [2 per cell]
Co (0.0000, 0.2500, 0.7751) [2 per cell]
Co (0.5000, 0.2500, 0.2248) [2 per cell]
Co (0.4999, 0.2499, 0.3094) [2 per cell]
Co (0.5000, 0.2501, 0.3942) [2 per cell]
Co (0.5000, 0.2500, 0.4788) [2 per cell]
Co (0.5001, 0.2500, 0.5635) [2 per cell]
Co (0.4999, 0.2501, 0.6481) [2 per cell]
Co (0.4999, 0.2499, 0.7326) [2 per cell]
Co (0.5001, 0.2498, 0.8154) [2 per cell]


In2Co: simulated PXRD pattern (Cu Ka), based on a crystal structure in OQMD, relaxed with GGA-PBE.

Peak list (10 most intense, 2θ = 5–70°, in order of falling intensity)
d 2.062, I 100
d 2.638, I 76
d 2.304, I 66
d 2.494, I 55
d 2.701, I 54
d 1.467, I 30
d 2.331, I 29
d 1.346, I 28
d 1.411, I 23
d 1.556, I 22

Cell and atoms:
a b c (Å): 5.3840 5.3840 13.2517
angles (deg): 90.00 90.00 120.00
Space group P6_222 (No. 180)
Asymmetric unit:
In (0.0000, 0.5000, 0.0493) [6 per cell]
In (0.1633, 0.3266, 0.5000) [6 per cell]
Co (0.0000, 0.0000, 0.0000) [3 per cell]
Co (0.0000, 0.5000, 0.6667) [3 per cell]